This entry pairs a crystal structure of Dy12HoEr7 with its theoretical X-ray powder pattern. Radiation: a wavelength of 1.5418 Å. Structure: a PBE-relaxed structure.

Structural model:
```
data_Dy12HoEr7
_space_group_name_H-M_alt 'R -3'
_space_group_IT_number 148
_space_group_name_Hall '-R 3'
_cell_length_a 18.4340
_cell_length_b 18.4340
_cell_length_c 6.6207
_cell_angle_alpha 90.00
_cell_angle_beta 90.00
_cell_angle_gamma 120.00
loop_
_atom_site_label
_atom_site_fract_x
_atom_site_fract_y
_atom_site_fract_z
Dy1 0.0005 0.2115 0.2823
Dy2 0.0062 0.5349 0.7409
Ho1 0.0000 0.0000 0.0000
Er1 0.0000 0.0000 0.5000
Er2 0.0080 0.1558 0.7797
```

Peak list (10 most intense, 2θ from 5° to 70°, low angle first)
(1 4 0), 3.484 Å, I 33
(3 2 1), 3.205 Å, I 100
(1 2 2), 2.902 Å, I 99
(6 -4 1), 2.745 Å, I 31
(6 0 0), 2.661 Å, I 96
(3 1 2), 2.651 Å, I 60
(2 3 2), 2.456 Å, I 41
(8 -5 1), 2.156 Å, I 57
(3 8 1), 1.574 Å, I 35
(8 -7 3), 1.527 Å, I 30